[1]
Starting from the PBE geometry in the Materials Project, the X-ray powder pattern of PbO2 was calculated for copper Kα.
Intensities are scaled so that the largest is 100.

Cell and atoms:
a b c (Å): 8.005 5.735 8.642
angles (deg): 90.00 114.57 90.00
Atoms (fractional coordinates):
Pb 0.009 0.250 0.148
Pb 0.388 0.250 0.012
Pb 0.415 0.750 0.277
Pb 0.585 0.250 0.723
Pb 0.612 0.750 0.988
Pb 0.991 0.750 0.852
O 0.066 0.750 0.388
O 0.121 0.750 0.545
O 0.196 0.005 0.062
O 0.196 0.495 0.062
O 0.417 0.012 0.820
O 0.417 0.488 0.820
O 0.583 0.512 0.180
O 0.583 0.988 0.180
O 0.804 0.505 0.938
O 0.804 0.995 0.938
O 0.879 0.250 0.455
O 0.934 0.250 0.612

Peak list (10 most intense, 2θ = 5–70°, in order of falling intensity)
- hkl 0 0 1, d = 7.860 Å, 11.26 deg, I 100.0
- hkl 2 1 -2, d = 2.981 Å, 29.97 deg, I 88.8
- hkl 1 1 1, d = 3.536 Å, 25.19 deg, I 84.2
- hkl 0 2 0, d = 2.867 Å, 31.19 deg, I 33.7
- hkl 1 2 -3, d = 2.031 Å, 44.62 deg, I 32.2
- hkl 0 1 2, d = 3.242 Å, 27.51 deg, I 24.9
- hkl 1 0 -3, d = 2.876 Å, 31.10 deg, I 24.0
- hkl 2 0 0, d = 3.640 Å, 24.45 deg, I 20.9
- hkl 3 2 -1, d = 1.946 Å, 46.67 deg, I 19.4
- hkl 1 1 2, d = 2.644 Å, 33.91 deg, I 18.7


[2]
Starting from the PBE geometry in the Materials Project, the X-ray powder pattern of PbO2 was calculated for copper Kα.
Intensities are scaled so that the largest is 100.

Cell and atoms:
a b c (Å): 5.101 6.073 5.578
angles (deg): 90.00 90.00 90.00
Atoms (fractional coordinates):
Pb 0.000 0.176 0.250
Pb 0.000 0.824 0.750
Pb 0.500 0.324 0.750
Pb 0.500 0.676 0.250
O 0.233 0.096 0.572
O 0.233 0.904 0.072
O 0.267 0.404 0.072
O 0.267 0.596 0.572
O 0.733 0.404 0.428
O 0.733 0.596 0.928
O 0.767 0.096 0.928
O 0.767 0.904 0.428

Peak list (10 most intense, 2θ = 5–70°, in order of falling intensity)
- hkl 1 1 1, d = 3.199 Å, 27.89 deg, I 100.0
- hkl 2 0 2, d = 1.882 Å, 48.37 deg, I 31.4
- hkl 1 1 0, d = 3.906 Å, 22.77 deg, I 22.2
- hkl 0 2 1, d = 2.667 Å, 33.60 deg, I 21.3
- hkl 2 2 1, d = 1.843 Å, 49.45 deg, I 20.1
- hkl 0 0 2, d = 2.789 Å, 32.09 deg, I 17.9
- hkl 1 1 3, d = 1.679 Å, 54.67 deg, I 16.5
- hkl 1 3 2, d = 1.560 Å, 59.24 deg, I 15.5
- hkl 3 1 1, d = 1.571 Å, 58.77 deg, I 13.4
- hkl 2 0 0, d = 2.550 Å, 35.19 deg, I 12.4